For Be2VPb2O6, a cell relaxed with GGA+U gives the computed powder diffractogram in this record (λ = 1.5418 Å (Cu Kα)).
Lines closer than 0.1° are merged.

The 12 most intense peaks (5 to 70 degrees two-theta), by angle:
- 2θ 19.8, I 30
- 2θ 22.2, I 100
- 2θ 29.8, I 45
- 2θ 33.2, I 96
- 2θ 34.6, I 89
- 2θ 37.5, I 31
- 2θ 40.2, I 50
- 2θ 45.1, I 28
- 2θ 45.2, I 32
- 2θ 48.6, I 29
- 2θ 60.1, I 34
- 2θ 63.8, I 28

a = 6.062 Å, b = 6.062 Å, c = 6.062 Å
α = 52.93°, β = 52.93°, γ = 52.93°
Positions (direct):
Be (0.092, 0.092, 0.092)
Be (0.908, 0.908, 0.908)
V (0.500, 0.500, 0.500)
Pb (0.286, 0.286, 0.286)
Pb (0.714, 0.714, 0.714)
O (0.241, 0.744, 0.744)
O (0.256, 0.256, 0.759)
O (0.256, 0.759, 0.256)
O (0.744, 0.241, 0.744)
O (0.744, 0.744, 0.241)
O (0.759, 0.256, 0.256)